# PrZn3In3
Computed powder X-ray diffraction pattern, copper Kα. Input: a DFT-relaxed cell (PBE, Alexandria).

Top 10 peaks for 2θ from 10° to 90°, most intense first:
(2 1 1), 2θ = 29.79°, I = 100; (3 2 1), 2θ = 46.24°, I = 59; (2 0 0), 2θ = 24.23°, I = 42; (4 0 0), 2θ = 49.64°, I = 27; (2 2 2), 2θ = 42.64°, I = 20; (6 1 1), 2θ = 80.62°, I = 17; (4 4 0), 2θ = 72.84°, I = 17; (4 2 0), 2θ = 55.98°, I = 16; (5 2 1), 2θ = 70.17°, I = 16; (3 3 2), 2θ = 58.98°, I = 14

Cell and atoms:
```
PrZn3In3
1.0
7.3458 0.0000 0.0000
0.0000 7.3458 0.0000
0.0000 0.0000 7.3458
Pr Zn In
2 6 6
direct
0.0000 0.0000 0.0000 Pr
0.5000 0.5000 0.5000 Pr
0.0000 0.2500 0.5000 Zn
0.0000 0.7500 0.5000 Zn
0.2500 0.5000 0.0000 Zn
0.5000 0.0000 0.2500 Zn
0.5000 0.0000 0.7500 Zn
0.7500 0.5000 0.0000 Zn
0.0000 0.5000 0.2500 In
0.0000 0.5000 0.7500 In
0.2500 0.0000 0.5000 In
0.5000 0.2500 0.0000 In
0.5000 0.7500 0.0000 In
0.7500 0.0000 0.5000 In
```